For RbNaCaBr4, a DFT-relaxed cell (GGA-PBE, Alexandria) gives the calculated X-ray powder pattern in this record (CuKα).

Crystal structure
```
data_RbNaCaBr4
_chemical_formula_sum 'Rb4 Na4 Ca4 Br16'
_cell_length_a 8.845
_cell_length_b 9.035
_cell_length_c 13.867
_cell_angle_alpha 90.00
_cell_angle_beta 90.00
_cell_angle_gamma 90.00
_symmetry_space_group_name_H-M 'I m m a'
_symmetry_Int_Tables_number 74
_symmetry_space_group_name_Hall '-I 2b 2'
loop_
_atom_site_label
_atom_site_type_symbol
_atom_site_fract_x
_atom_site_fract_y
_atom_site_fract_z
Rb1 Rb 0.000 0.250 0.113
Na1 Na 0.000 0.000 0.500
Ca1 Ca 0.250 0.250 0.750
Br1 Br 0.000 0.033 0.738
Br2 Br 0.221 0.250 0.540
```

Largest 10 diffraction maxima, low angle first, 2θ from 10° to 90°:
| two_theta | I_rel | hkl |
| --- | --- | --- |
| 19.0 | 49 | 1 1 2 |
| 23.3 | 29 | 2 1 1 |
| 23.5 | 76 | 0 2 2 |
| 23.9 | 60 | 2 0 2 |
| 28.2 | 68 | 2 2 0 |
| 29.7 | 42 | 2 1 3 |
| 33.8 | 52 | 0 1 5 |
| 36.7 | 45 | 2 3 1 |
| 38.5 | 100 | 2 2 4 |
| 39.9 | 29 | 0 4 0 |